Mg5Si6: computed PXRD pattern (Cu Ka), based on DFT lattice parameters and positions (PBE).

Cell and atoms:
```
22
Lattice="3.9520 0.0000 0.0000 0.0549 6.8444 0.0000 1.9445 2.9939 15.2860" Properties=species:S:1:pos:R:3 pbc="T T T"
Mg 0.0000 0.0000 0.0000
Mg 1.9756 6.3539 14.1789
Mg 1.9681 5.0929 9.2310
Mg 2.0521 4.5704 4.1523
Mg 2.0082 4.7006 1.0194
Mg 3.9483 6.3572 11.4241
Mg 3.9280 2.9331 10.2521
Mg 3.9612 7.1759 8.0131
Mg 3.9528 4.0487 6.9321
Mg 3.9739 2.7058 2.2245
Si 1.9883 8.6540 12.1422
Si 1.9565 4.3006 11.9724
Si 1.9844 7.6862 9.9740
Si 1.9628 2.5107 8.2634
Si 1.9809 5.8779 6.5638
Si 1.9269 1.3794 6.0880
Si 2.0003 7.1909 2.0863
Si 1.9985 2.0711 0.3586
Si 3.9693 8.4220 13.5840
Si 3.9330 4.0928 13.4325
Si 3.8992 2.1103 4.8853
Si 3.9749 6.8951 3.5113
```

The 10 most intense peaks (10 to 80 degrees two-theta), low angle first:
| 2θ/deg | intensity | hkl |
| --- | --- | --- |
| 13.2 | 33 | 0 1 0 |
| 34.8 | 100 | 1 1 -3 |
| 35.1 | 68 | 1 -1 4 |
| 35.2 | 36 | 0 1 6 |
| 35.5 | 66 | 1 1 5 |
| 35.9 | 43 | 1 2 3 |
| 36.1 | 44 | -1 2 2 |
| 39.8 | 52 | 1 0 6 |
| 40.8 | 39 | 0 3 3 |
| 45.9 | 94 | 2 0 1 |